Computed powder diffraction line list
Compound: YLu3Cr4O16
Radiation: Cu Kα, 1.54184 Å
Structure: a crystal structure in Alexandria, relaxed with PBE+U
Lines closer than 0.1° are merged.

Crystal structure
```
data_YLu3Cr4O16
_symmetry_space_group_name_H-M 'C 2 2 2'
_symmetry_Int_Tables_number 21
_symmetry_space_group_name_Hall 'C 2 2'
_cell_length_a 6.2386
_cell_length_b 10.0273
_cell_length_c 10.0560
_cell_angle_alpha 90.00
_cell_angle_beta 90.00
_cell_angle_gamma 90.00
loop_
_atom_site_label
_atom_site_fract_x
_atom_site_fract_y
_atom_site_fract_z
Y1 0.0000 0.0000 0.0000
Lu1 0.0000 0.5000 0.5000
Lu2 0.2500 0.2500 0.2522
Cr1 0.0000 0.0000 0.5000
Cr2 0.0000 0.5000 0.0000
Cr3 0.2500 0.2500 0.7455
O1 0.0706 0.1564 0.8357
O2 0.0710 0.3456 0.6566
O3 0.1749 0.4078 0.0956
O4 0.1784 0.0906 0.4053
```

The 6 most intense peaks (5 to 70 degrees two-theta), low angle first:
two_theta  I/Imax  index
18.94  38  1 1 1
25.08  100  0 2 2
33.83  70  2 2 0
40.78  14  1 3 3
50.05  58  2 4 2
51.48  16  0 4 4